Computed powder diffraction line list
Compound: Pr4CdBr5
Radiation: a wavelength of 1.5418 Å
Structure: a PBE-relaxed structure

Largest 10 diffraction maxima, most intense first, 5° ≤ 2θ ≤ 70°:
| d/Å | intensity | hkl |
| --- | --- | --- |
| 3.073 | 1000 | 6 0 0 |
| 9.027 | 309 | 0 0 1 |
| 2.203 | 265 | 5 1 2 |
| 2.145 | 237 | 7 1 -2 |
| 2.304 | 148 | 2 0 -4 |
| 1.712 | 119 | 6 2 0 |
| 1.360 | 110 | 13 1 -2 |
| 9.227 | 110 | 2 0 0 |
| 2.060 | 107 | 0 2 0 |
| 1.881 | 81 | 4 0 4 |

Structural model:
```
data_Pr4CdBr5
_chemical_formula_sum 'Pr8 Cd2 Br10'
_cell_length_a 18.854
_cell_length_b 4.121
_cell_length_c 9.223
_cell_angle_alpha 90.00
_cell_angle_beta 101.83
_cell_angle_gamma 90.00
_symmetry_space_group_name_H-M 'C 1 2/m 1'
_symmetry_Int_Tables_number 12
loop_
_symmetry_equiv_pos_as_xyz
'x,y,z'
'-x,-y,-z'
'-x,y,-z'
'x,-y,z'
'x+1/2,y+1/2,z'
'-x+1/2,-y+1/2,-z'
'-x+1/2,y+1/2,-z'
'x+1/2,-y+1/2,z'
loop_
_atom_site_label
_atom_site_type_symbol
_atom_site_fract_x
_atom_site_fract_y
_atom_site_fract_z
Pr1 Pr 0.003 0.000 0.245
Pr2 Pr 0.164 0.500 0.074
Cd1 Cd 0.000 0.500 0.000
Br1 Br 0.000 0.500 0.500
Br2 Br 0.168 0.000 0.319
Br3 Br 0.168 0.000 0.826
```

=====

Computed powder diffraction line list
Compound: CdPt2Br
Radiation: a wavelength of 1.5418 Å
Structure: a PBE-relaxed structure

Largest 10 diffraction maxima, most intense first, 5° ≤ 2θ ≤ 70°:
| d/Å | intensity | hkl |
| --- | --- | --- |
| 2.420 | 1000 | 1 0 2 |
| 2.117 | 345 | 1 1 0 |
| 1.475 | 203 | 1 1 4 |
| 2.055 | 146 | 0 0 4 |
| 1.497 | 114 | 2 0 0 |
| 4.110 | 93 | 0 0 2 |
| 2.994 | 92 | 1 0 0 |
| 8.220 | 58 | 0 0 1 |
| 1.882 | 50 | 1 1 2 |
| 1.694 | 30 | 1 0 4 |

Structural model:
```
data_CdPt2Br
_chemical_formula_sum 'Cd1 Pt2 Br1'
_cell_length_a 2.994
_cell_length_b 2.994
_cell_length_c 8.220
_cell_angle_alpha 90.00
_cell_angle_beta 90.00
_cell_angle_gamma 90.00
_symmetry_space_group_name_H-M 'P 4/m m m'
_symmetry_Int_Tables_number 123
_symmetry_space_group_name_Hall '-P 4 2'
loop_
_atom_site_label
_atom_site_type_symbol
_atom_site_fract_x
_atom_site_fract_y
_atom_site_fract_z
Cd1 Cd 0.000 0.000 0.000
Pt1 Pt 0.500 0.500 0.237
Br1 Br 0.000 0.000 0.500
```

=====

Computed powder diffraction line list
Compound: RbCdPtBr6
Radiation: a wavelength of 1.5418 Å
Structure: a PBE-relaxed structure

Largest 10 diffraction maxima, most intense first, 5° ≤ 2θ ≤ 70°:
| d/Å | intensity | hkl |
| --- | --- | --- |
| 7.695 | 1000 | 0 0 1 |
| 2.544 | 613 | 1 3 2 |
| 3.130 | 455 | 1 3 1 |
| 2.712 | 411 | 2 0 -2 |
| 4.929 | 374 | 1 1 -1 |
| 2.064 | 347 | 3 3 0 |
| 4.726 | 346 | 1 1 1 |
| 4.685 | 340 | 0 2 1 |
| 3.353 | 284 | 2 0 -1 |
| 2.085 | 213 | 1 3 -3 |

Structural model:
```
data_RbCdPtBr6
_chemical_formula_sum 'Rb2 Cd2 Pt2 Br12'
_cell_length_a 7.281
_cell_length_b 11.813
_cell_length_c 7.705
_cell_angle_alpha 90.00
_cell_angle_beta 92.89
_cell_angle_gamma 90.00
_symmetry_space_group_name_H-M 'C 1 2 1'
_symmetry_Int_Tables_number 5
loop_
_symmetry_equiv_pos_as_xyz
'x,y,z'
'-x,y,-z'
'x+1/2,y+1/2,z'
'-x+1/2,y+1/2,-z'
loop_
_atom_site_label
_atom_site_type_symbol
_atom_site_fract_x
_atom_site_fract_y
_atom_site_fract_z
Rb1 Rb 0.000 0.000 0.000
Cd1 Cd 0.000 0.677 0.500
Pt1 Pt 0.000 0.331 0.500
Br1 Br 0.135 0.484 0.689
Br2 Br 0.166 0.185 0.686
Br3 Br 0.203 0.814 0.718
```

=====

Computed powder diffraction line list
Compound: Sr2CdPtBr
Radiation: a wavelength of 1.5418 Å
Structure: a PBE-relaxed structure

Largest 10 diffraction maxima, most intense first, 5° ≤ 2θ ≤ 70°:
| d/Å | intensity | hkl |
| --- | --- | --- |
| 3.069 | 1000 | 2 0 0 |
| 3.343 | 875 | 1 1 1 |
| 3.985 | 597 | 1 0 1 |
| 1.993 | 581 | 2 0 2 |
| 2.170 | 377 | 2 2 0 |
| 2.432 | 333 | 2 1 1 |
| 4.340 | 331 | 1 1 0 |
| 1.671 | 331 | 2 2 2 |
| 2.620 | 325 | 0 0 2 |
| 1.820 | 312 | 3 1 1 |

Structural model:
```
data_Sr2CdPtBr
_chemical_formula_sum 'Sr2 Cd1 Pt1 Br1'
_cell_length_a 6.138
_cell_length_b 6.138
_cell_length_c 5.240
_cell_angle_alpha 90.00
_cell_angle_beta 90.00
_cell_angle_gamma 90.00
_symmetry_space_group_name_H-M 'P 4/m m m'
_symmetry_Int_Tables_number 123
_symmetry_space_group_name_Hall '-P 4 2'
loop_
_atom_site_label
_atom_site_type_symbol
_atom_site_fract_x
_atom_site_fract_y
_atom_site_fract_z
Sr1 Sr 0.000 0.500 0.000
Cd1 Cd 0.000 0.000 0.000
Pt1 Pt 0.500 0.500 0.500
Br1 Br 0.000 0.000 0.500
```

=====

Computed powder diffraction line list
Compound: RbPuCdBr6
Radiation: a wavelength of 1.5418 Å
Structure: a PBE-relaxed structure

Largest 10 diffraction maxima, most intense first, 5° ≤ 2θ ≤ 70°:
| d/Å | intensity | hkl |
| --- | --- | --- |
| 2.649 | 1000 | 1 1 4 |
| 3.343 | 826 | 1 1 2 |
| 4.902 | 796 | 1 0 2 |
| 7.524 | 600 | 0 0 2 |
| 2.154 | 429 | 3 0 0 |
| 2.081 | 292 | 2 -1 6 |
| 2.323 | 286 | 2 1 2 |
| 6.463 | 229 | 1 0 0 |
| 1.671 | 203 | 4 -2 4 |
| 1.744 | 171 | 4 -1 2 |

Structural model:
```
data_RbPuCdBr6
_chemical_formula_sum 'Rb2 Pu2 Cd2 Br12'
_cell_length_a 7.4623
_cell_length_b 7.4623
_cell_length_c 15.0475
_cell_angle_alpha 90.00
_cell_angle_beta 90.00
_cell_angle_gamma 120.00
_symmetry_space_group_name_H-M 'P -3 1 c'
_symmetry_Int_Tables_number 163
_symmetry_space_group_name_Hall '-P 3 2c'
loop_
_atom_site_label
_atom_site_type_symbol
_atom_site_fract_x
_atom_site_fract_y
_atom_site_fract_z
Rb1 Rb 0.0000 0.0000 0.0000
Pu1 Pu 0.3333 0.6667 0.2500
Cd1 Cd 0.3333 0.6667 0.7500
Br1 Br 0.0068 0.3772 0.6419
```

=====

Computed powder diffraction line list
Compound: Rb2PuCdBr6
Radiation: a wavelength of 1.5418 Å
Structure: a PBE-relaxed structure

Largest 10 diffraction maxima, most intense first, 5° ≤ 2θ ≤ 70°:
| d/Å | intensity | hkl |
| --- | --- | --- |
| 2.898 | 1000 | 2 0 2 |
| 5.796 | 610 | 0 2 0 |
| 4.101 | 484 | 0 0 2 |
| 2.049 | 475 | 2 4 2 |
| 2.593 | 297 | 1 4 1 |
| 3.347 | 194 | 2 2 0 |
| 2.369 | 178 | 1 2 3 |
| 6.687 | 128 | 1 1 0 |
| 1.670 | 124 | 4 4 0 |
| 1.676 | 124 | 0 4 4 |

Structural model:
```
data_Rb2PuCdBr6
_chemical_formula_sum 'Rb4 Pu2 Cd2 Br12'
_cell_length_a 8.175
_cell_length_b 11.595
_cell_length_c 8.218
_cell_angle_alpha 90.00
_cell_angle_beta 90.00
_cell_angle_gamma 90.00
_symmetry_space_group_name_H-M 'P m m n'
_symmetry_Int_Tables_number 59
loop_
_symmetry_equiv_pos_as_xyz
'x,y,z'
'-x,-y,-z'
'-x+1/2,-y+1/2,z'
'x+1/2,y+1/2,-z'
'x+1/2,-y,-z'
'-x+1/2,y,z'
'-x,y+1/2,-z'
'x,-y+1/2,z'
loop_
_atom_site_label
_atom_site_type_symbol
_atom_site_fract_x
_atom_site_fract_y
_atom_site_fract_z
Rb1 Rb 0.250 0.020 0.243
Pu1 Pu 0.250 0.250 0.748
Cd1 Cd 0.250 0.750 0.751
Br1 Br 0.002 0.250 0.001
Br2 Br 0.005 0.250 0.492
Br3 Br 0.250 0.501 0.754
```

=====

Computed powder diffraction line list
Compound: RbCd4Br8
Radiation: a wavelength of 1.5418 Å
Structure: a PBE-relaxed structure

Largest 10 diffraction maxima, most intense first, 5° ≤ 2θ ≤ 70°:
| d/Å | intensity | hkl |
| --- | --- | --- |
| 8.512 | 1000 | 0 0 3 |
| 3.156 | 907 | 0 2 4 |
| 2.573 | 344 | 0 2 7 |
| 2.096 | 323 | 2 2 0 |
| 2.397 | 251 | 2 0 8 |
| 1.956 | 193 | 2 0 11 |
| 2.035 | 164 | 2 2 3 |
| 1.746 | 152 | 4 0 4 |
| 3.595 | 84 | 0 2 1 |
| 1.625 | 79 | 4 0 7 |

Structural model:
```
data_RbCd4Br8
_chemical_formula_sum 'Rb3 Cd12 Br24'
_cell_length_a 8.3849
_cell_length_b 8.3849
_cell_length_c 25.5364
_cell_angle_alpha 90.00
_cell_angle_beta 90.00
_cell_angle_gamma 120.00
_symmetry_space_group_name_H-M 'R -3 m'
_symmetry_Int_Tables_number 166
_symmetry_space_group_name_Hall '-R 3 2"'
loop_
_atom_site_label
_atom_site_type_symbol
_atom_site_fract_x
_atom_site_fract_y
_atom_site_fract_z
Rb1 Rb 0.0000 0.0000 0.0000
Cd1 Cd 0.0000 0.0000 0.5000
Cd2 Cd 0.0000 0.5000 0.5000
Br1 Br 0.0000 0.0000 0.2275
Br2 Br 0.0172 0.5086 0.7712
```

=====

Computed powder diffraction line list
Compound: Rb3CdBr5
Radiation: a wavelength of 1.5418 Å
Structure: a PBE-relaxed structure

Largest 10 diffraction maxima, most intense first, 5° ≤ 2θ ≤ 70°:
| d/Å | intensity | hkl |
| --- | --- | --- |
| 3.300 | 1000 | 2 1 3 |
| 1.659 | 299 | 4 4 0 |
| 2.971 | 299 | 3 1 0 |
| 3.045 | 282 | 2 0 4 |
| 3.322 | 234 | 2 2 0 |
| 1.984 | 194 | 3 1 6 |
| 2.101 | 177 | 4 2 0 |
| 4.051 | 161 | 2 0 2 |
| 2.095 | 153 | 4 1 3 |
| 2.555 | 143 | 2 2 4 |

Structural model:
```
data_Rb3CdBr5
_chemical_formula_sum 'Rb12 Cd4 Br20'
_cell_length_a 9.395
_cell_length_b 9.395
_cell_length_c 15.993
_cell_angle_alpha 90.00
_cell_angle_beta 90.00
_cell_angle_gamma 90.00
_symmetry_space_group_name_H-M 'I 4/m c m'
_symmetry_Int_Tables_number 140
_symmetry_space_group_name_Hall '-I 4 2c'
loop_
_atom_site_label
_atom_site_type_symbol
_atom_site_fract_x
_atom_site_fract_y
_atom_site_fract_z
Rb1 Rb 0.000 0.000 0.250
Rb2 Rb 0.159 0.341 0.000
Cd1 Cd 0.000 0.500 0.250
Br1 Br 0.000 0.000 0.000
Br2 Br 0.153 0.347 0.353
```

=====

Computed powder diffraction line list
Compound: Rb2Cd3Br8
Radiation: a wavelength of 1.5418 Å
Structure: a PBE-relaxed structure

Largest 10 diffraction maxima, most intense first, 5° ≤ 2θ ≤ 70°:
| d/Å | intensity | hkl |
| --- | --- | --- |
| 2.884 | 1000 | 4 2 -1 |
| 7.886 | 502 | 2 0 0 |
| 2.108 | 297 | 2 2 -3 |
| 3.469 | 219 | 2 2 -1 |
| 2.469 | 212 | 4 2 1 |
| 4.751 | 194 | 1 1 1 |
| 2.086 | 176 | 0 4 0 |
| 2.295 | 148 | 6 2 -1 |
| 4.277 | 148 | 3 1 -1 |
| 1.979 | 144 | 6 2 1 |

Structural model:
```
data_Rb2Cd3Br8
_chemical_formula_sum 'Rb4 Cd6 Br16'
_cell_length_a 16.536
_cell_length_b 8.342
_cell_length_c 7.330
_cell_angle_alpha 90.00
_cell_angle_beta 107.49
_cell_angle_gamma 90.00
_symmetry_space_group_name_H-M 'C 1 2/m 1'
_symmetry_Int_Tables_number 12
loop_
_symmetry_equiv_pos_as_xyz
'x,y,z'
'-x,-y,-z'
'-x,y,-z'
'x,-y,z'
'x+1/2,y+1/2,z'
'-x+1/2,-y+1/2,-z'
'-x+1/2,y+1/2,-z'
'x+1/2,-y+1/2,z'
loop_
_atom_site_label
_atom_site_type_symbol
_atom_site_fract_x
_atom_site_fract_y
_atom_site_fract_z
Rb1 Rb 0.235 0.000 0.173
Cd1 Cd 0.000 0.243 0.500
Cd2 Cd 0.000 0.500 0.000
Br1 Br 0.096 0.268 0.889
Br2 Br 0.099 0.500 0.401
Br3 Br 0.110 0.000 0.466
```

=====

Computed powder diffraction line list
Compound: Rb2CdBr5
Radiation: a wavelength of 1.5418 Å
Structure: a PBE-relaxed structure

Largest 10 diffraction maxima, most intense first, 5° ≤ 2θ ≤ 70°:
| d/Å | intensity | hkl |
| --- | --- | --- |
| 5.817 | 1000 | 1 1 0 |
| 3.087 | 761 | 2 0 0 |
| 2.522 | 735 | 1 5 3 |
| 3.145 | 679 | 0 4 3 |
| 4.038 | 589 | 0 2 3 |
| 8.683 | 553 | 0 2 0 |
| 2.203 | 492 | 2 4 3 |
| 2.953 | 435 | 1 5 1 |
| 2.452 | 312 | 2 2 3 |
| 7.332 | 297 | 0 2 1 |

Structural model:
```
data_Rb2CdBr5
_chemical_formula_sum 'Rb8 Cd4 Br20'
_cell_length_a 6.174
_cell_length_b 17.367
_cell_length_c 13.683
_cell_angle_alpha 90.00
_cell_angle_beta 90.00
_cell_angle_gamma 90.00
_symmetry_space_group_name_H-M 'C m c m'
_symmetry_Int_Tables_number 63
_symmetry_space_group_name_Hall '-C 2c 2'
loop_
_atom_site_label
_atom_site_type_symbol
_atom_site_fract_x
_atom_site_fract_y
_atom_site_fract_z
Rb1 Rb 0.000 0.157 0.088
Cd1 Cd 0.000 0.159 0.750
Br1 Br 0.000 0.037 0.622
Br2 Br 0.000 0.270 0.611
Br3 Br 0.000 0.322 0.250
```

=====

Computed powder diffraction line list
Compound: Rb2SmCdBr6
Radiation: a wavelength of 1.5418 Å
Structure: a PBE-relaxed structure

Largest 10 diffraction maxima, most intense first, 5° ≤ 2θ ≤ 70°:
| d/Å | intensity | hkl |
| --- | --- | --- |
| 2.942 | 1000 | 2 0 2 |
| 5.884 | 463 | 0 2 0 |
| 2.080 | 441 | 2 4 2 |
| 4.160 | 260 | 1 2 1 |
| 2.630 | 205 | 1 4 1 |
| 3.426 | 183 | 2 2 0 |
| 3.370 | 167 | 0 2 2 |
| 2.108 | 130 | 4 0 0 |
| 1.713 | 117 | 4 4 0 |
| 2.057 | 108 | 0 0 4 |

Structural model:
```
data_Rb2SmCdBr6
_chemical_formula_sum 'Rb4 Sm2 Cd2 Br12'
_cell_length_a 8.432
_cell_length_b 11.752
_cell_length_c 8.227
_cell_angle_alpha 90.00
_cell_angle_beta 90.00
_cell_angle_gamma 90.00
_symmetry_space_group_name_H-M 'P m m n'
_symmetry_Int_Tables_number 59
loop_
_symmetry_equiv_pos_as_xyz
'x,y,z'
'-x,-y,-z'
'-x+1/2,-y+1/2,z'
'x+1/2,y+1/2,-z'
'x+1/2,-y,-z'
'-x+1/2,y,z'
'-x,y+1/2,-z'
'x,-y+1/2,z'
loop_
_atom_site_label
_atom_site_type_symbol
_atom_site_fract_x
_atom_site_fract_y
_atom_site_fract_z
Rb1 Rb 0.250 0.033 0.221
Sm1 Sm 0.250 0.250 0.741
Cd1 Cd 0.250 0.750 0.752
Br1 Br 0.010 0.250 0.988
Br2 Br 0.021 0.250 0.486
Br3 Br 0.250 0.007 0.762
```

=====

Computed powder diffraction line list
Compound: RbCd2SnBr8
Radiation: a wavelength of 1.5418 Å
Structure: a PBE-relaxed structure

Largest 10 diffraction maxima, most intense first, 5° ≤ 2θ ≤ 70°:
| d/Å | intensity | hkl |
| --- | --- | --- |
| 5.163 | 1000 | 2 0 0 |
| 2.630 | 825 | 3 1 2 |
| 2.134 | 542 | 3 3 2 |
| 4.096 | 398 | 2 1 1 |
| 2.582 | 379 | 4 0 0 |
| 3.209 | 318 | 3 0 1 |
| 3.365 | 311 | 2 0 2 |
| 3.791 | 202 | 1 1 2 |
| 1.721 | 155 | 6 0 0 |
| 2.490 | 151 | 2 1 3 |

Structural model:
```
data_RbCd2SnBr8
_chemical_formula_sum 'Rb2 Cd4 Sn2 Br16'
_cell_length_a 10.326
_cell_length_b 10.326
_cell_length_c 8.872
_cell_angle_alpha 90.00
_cell_angle_beta 90.00
_cell_angle_gamma 90.00
_symmetry_space_group_name_H-M 'I -4 m 2'
_symmetry_Int_Tables_number 119
_symmetry_space_group_name_Hall 'I -4 -2'
loop_
_atom_site_label
_atom_site_type_symbol
_atom_site_fract_x
_atom_site_fract_y
_atom_site_fract_z
Rb1 Rb 0.000 0.000 0.000
Cd1 Cd 0.000 0.000 0.500
Cd2 Cd 0.000 0.500 0.750
Sn1 Sn 0.000 0.500 0.250
Br1 Br 0.000 0.206 0.323
Br2 Br 0.000 0.326 0.966
```

=====

Which formula does entry 2 have?
CdPt2Br